No. 1
Diffraction record for CeBN2F. The powder XRD pattern is theoretical, not measured: it uses a cell relaxed with PBE and a wavelength of 1.5418 Å.
Neutral-atom scattering factors, no anomalous dispersion.

Crystal structure
```
10
Lattice="6.099 0.000 0.000 0.000 3.996 0.000 -0.111 0.000 6.511" Properties=species:S:1:pos:R:3 pbc="T T T"
Ce 1.362 0.999 2.338
Ce 4.625 2.997 4.173
B 0.605 0.999 5.574
B 5.382 2.997 0.937
N 0.055 0.999 4.335
N 1.304 0.999 0.256
N 4.683 2.997 6.255
N 5.932 2.997 2.176
F 2.683 2.997 2.516
F 3.304 0.999 3.995
```

Main lines, sorted by position (5 to 70 degrees two-theta):
2θ (°), I_rel
13.60, 83
19.78, 56
20.12, 45
26.17, 27
26.67, 100
29.29, 23
30.92, 33
39.86, 33
47.05, 26
50.36, 31

=====

No. 2
Diffraction record for CeFe6B3. The powder XRD pattern is theoretical, not measured: it uses a cell relaxed with PBE and a wavelength of 1.5418 Å.
Neutral-atom scattering factors, no anomalous dispersion.

Crystal structure
```
10
Lattice="5.043 0.000 0.000 2.453 4.416 0.000 2.441 -1.002 4.919" Properties=species:S:1:pos:R:3 pbc="T T T"
Ce 0.000 0.000 0.000
Fe 3.606 1.318 4.001
Fe 2.603 0.159 2.087
Fe 3.708 2.371 1.621
Fe 6.259 1.286 3.911
Fe 7.422 3.546 3.318
Fe 6.213 2.274 1.648
B 2.497 1.252 0.293
B 4.829 0.969 2.459
B 4.971 3.445 0.311
```

Main lines, sorted by position (5 to 70 degrees two-theta):
2θ (°), I_rel
32.29, 35
32.67, 34
35.51, 32
38.30, 46
41.10, 73
41.40, 48
41.79, 100
42.14, 32
45.94, 31
52.49, 27

=====

No. 3
Diffraction record for Ce2FeB10. The powder XRD pattern is theoretical, not measured: it uses a cell relaxed with PBE and a wavelength of 1.5418 Å.
Neutral-atom scattering factors, no anomalous dispersion.

Crystal structure
```
26
Lattice="5.598 0.000 0.000 0.000 11.164 0.000 0.000 0.000 4.157" Properties=species:S:1:pos:R:3 pbc="T T T"
Ce 1.166 1.467 0.000
Ce 1.633 7.049 0.000
Ce 3.965 4.115 0.000
Ce 4.432 9.697 0.000
Fe 0.000 5.582 2.078
Fe 2.799 0.000 2.078
B 0.207 3.493 2.078
B 0.710 10.721 2.078
B 0.842 8.959 2.078
B 1.145 4.317 0.833
B 1.145 4.317 3.324
B 1.654 9.899 0.833
B 1.654 9.899 3.324
B 1.957 3.377 2.078
B 2.089 5.138 2.078
B 2.592 9.075 2.078
B 3.006 2.090 2.078
B 3.510 6.026 2.078
B 3.641 7.788 2.078
B 3.944 1.265 0.833
B 3.944 1.265 3.324
B 4.454 6.847 0.833
B 4.454 6.847 3.324
B 4.756 2.205 2.078
B 4.888 0.444 2.078
B 5.391 7.672 2.078
```

Main lines, sorted by position (5 to 70 degrees two-theta):
2θ (°), I_rel
21.38, 25
22.49, 68
27.90, 17
31.23, 100
32.03, 29
38.83, 83
43.56, 19
45.92, 23
49.55, 34
56.64, 13